This entry pairs a crystal structure of MnCdAgF6 with its computed X-ray diffraction stick pattern. Radiation: Cu Kα (weighted mean of Kα1 and Kα2). Structure: a structure optimized by DFT (PBE+U).
Kinematic intensities with the Lorentz-polarization factor, no thermal factor.

Lattice parameters (Å, degrees): 5.2005 5.2005 10.2116 90.00 90.00 90.00
Space group P4_2nm (No. 102)
Unique sites:
Mn  0.0000  0.0000  0.0000 [2 per cell]
Cd  0.0000  0.0000  0.6642 [2 per cell]
Ag  0.0000  0.0000  0.3363 [2 per cell]
F  0.1721  0.1721  0.8562 [4 per cell]
F  0.1842  0.1842  0.1375 [4 per cell]
F  0.2149  0.2149  0.5126 [4 per cell]

The 10 most intense peaks (10° ≤ 2θ ≤ 90°), sorted by position:
d = 4.634 Å, 19.15°, rel. 8, (1 0 1); d = 3.677 Å, 24.20°, rel. 100, (1 1 0); d = 2.848 Å, 31.41°, rel. 67, (1 0 3); d = 2.600 Å, 34.49°, rel. 17, (2 0 0); d = 1.920 Å, 47.34°, rel. 65, (2 1 3); d = 1.839 Å, 49.58°, rel. 17, (2 2 0); d = 1.645 Å, 55.91°, rel. 13, (3 1 0); d = 1.545 Å, 59.88°, rel. 35, (3 0 3); d = 1.328 Å, 70.97°, rel. 10, (3 2 3); d = 1.183 Å, 81.36°, rel. 20, (4 1 3)